Entry 1:
Diffraction record for Zr4Sb5H. The powder X-ray diffraction pattern is theoretical, not measured: it uses a crystal structure in Alexandria, relaxed with PBE and Cu Kα, 1.54184 Å.
Neutral-atom scattering factors, no anomalous dispersion.

Structure:
abc: 8.770 8.770 8.566
angles: 97.66 97.66 20.80
Sites, in units of the cell vectors:
Zr 0.009 0.009 0.316
Zr 0.339 0.339 0.420
Zr 0.661 0.661 0.580
Zr 0.991 0.991 0.684
Sb 0.155 0.155 0.876
Sb 0.175 0.175 0.289
Sb 0.500 0.500 0.000
Sb 0.825 0.825 0.711
Sb 0.845 0.845 0.124
H 0.500 0.500 0.500

Most intense lines, 2θ = 5–70°, by angle:
two_theta  d/Å  I_rel
31.40  2.849  85
33.39  2.684  42
34.73  2.583  69
35.33  2.540  100
35.61  2.521  44
46.25  1.963  48
49.67  1.835  29
63.02  1.475  19

Entry 2:
Diffraction record for Zr3SbH. The powder X-ray diffraction pattern is theoretical, not measured: it uses a crystal structure in Alexandria, relaxed with PBE and Cu Kα, 1.54184 Å.
Neutral-atom scattering factors, no anomalous dispersion.

Structure:
abc: 7.756 7.756 3.952
angles: 90.00 90.00 129.84
Sites, in units of the cell vectors:
Zr 0.000 0.500 0.500
Zr 0.125 0.875 0.000
Zr 0.267 0.267 0.500
Zr 0.500 0.000 0.500
Zr 0.733 0.733 0.500
Zr 0.875 0.125 0.000
Sb 0.367 0.633 0.000
Sb 0.633 0.367 0.000
H 0.158 0.842 0.500
H 0.842 0.158 0.500

Most intense lines, 2θ = 5–70°, by angle:
two_theta  d/Å  I_rel
34.15  2.625  100
35.52  2.527  90
37.47  2.400  77
45.93  1.976  22
52.08  1.756  14
60.71  1.525  36
64.63  1.442  29
67.20  1.393  26

Entry 3:
Diffraction record for Zr4SbH2. The powder X-ray diffraction pattern is theoretical, not measured: it uses a crystal structure in Alexandria, relaxed with PBE and Cu Kα, 1.54184 Å.
Neutral-atom scattering factors, no anomalous dispersion.

Structure:
abc: 7.087 7.087 6.955
angles: 102.88 102.88 124.15
Sites, in units of the cell vectors:
Zr 0.002 0.998 0.500
Zr 0.025 0.396 0.867
Zr 0.374 0.878 0.752
Zr 0.396 0.025 0.367
Zr 0.405 0.534 0.386
Zr 0.534 0.405 0.886
Zr 0.878 0.374 0.252
Zr 0.998 0.002 0.000
Sb 0.574 0.824 0.126
Sb 0.824 0.574 0.626
H 0.156 0.205 0.826
H 0.205 0.156 0.326
H 0.255 0.706 0.426
H 0.706 0.255 0.926

Most intense lines, 2θ = 5–70°, by angle:
two_theta  d/Å  I_rel
20.30  4.375  35
32.59  2.748  32
33.56  2.671  100
33.90  2.644  92
39.14  2.302  57
39.93  2.258  43
42.12  2.145  30
42.72  2.117  29

Entry 4:
Diffraction record for Sc2H3. The powder X-ray diffraction pattern is theoretical, not measured: it uses a crystal structure in Alexandria, relaxed with PBE and Cu Kα, 1.54184 Å.
Neutral-atom scattering factors, no anomalous dispersion.

Structure:
abc: 3.348 3.348 4.757
angles: 90.00 90.00 90.00
Sites, in units of the cell vectors:
Sc 0.000 0.500 0.248
Sc 0.500 0.000 0.752
H 0.000 0.000 0.000
H 0.000 0.000 0.500
H 0.500 0.500 0.000

Most intense lines, 2θ = 5–70°, by angle:
two_theta  d/Å  I_rel
32.71  2.738  100
37.82  2.378  15
38.01  2.368  29
54.70  1.678  21
54.84  1.674  11
65.09  1.433  11
65.33  1.428  22
68.54  1.369  9

Entry 5:
Diffraction record for ScH. The powder X-ray diffraction pattern is theoretical, not measured: it uses a crystal structure in Alexandria, relaxed with PBE and Cu Kα, 1.54184 Å.
Neutral-atom scattering factors, no anomalous dispersion.

Structure:
abc: 8.193 8.193 3.261
angles: 90.00 90.00 90.00
Sites, in units of the cell vectors:
Sc 0.078 0.261 0.000
Sc 0.239 0.578 0.500
Sc 0.261 0.922 0.000
Sc 0.422 0.239 0.500
Sc 0.578 0.761 0.500
Sc 0.739 0.078 0.000
Sc 0.761 0.422 0.500
Sc 0.922 0.739 0.000
H 0.163 0.697 0.000
H 0.197 0.337 0.500
H 0.303 0.163 0.000
H 0.337 0.803 0.500
H 0.663 0.197 0.500
H 0.697 0.837 0.000
H 0.803 0.663 0.500
H 0.837 0.303 0.000

Most intense lines, 2θ = 5–70°, by angle:
two_theta  d/Å  I_rel
21.70  4.096  16
29.48  3.030  41
30.87  2.897  31
34.62  2.591  81
36.90  2.436  100
54.04  1.697  28
63.55  1.464  22
67.95  1.379  29

Entry 6:
Diffraction record for Sc2H5. The powder X-ray diffraction pattern is theoretical, not measured: it uses a crystal structure in Alexandria, relaxed with PBE and Cu Kα, 1.54184 Å.
Neutral-atom scattering factors, no anomalous dispersion.

Structure:
abc: 3.328 5.985 5.728
angles: 90.00 90.00 90.00
Sites, in units of the cell vectors:
Sc 0.250 0.250 0.075
Sc 0.250 0.750 0.412
Sc 0.750 0.250 0.588
Sc 0.750 0.750 0.925
H 0.250 0.090 0.394
H 0.250 0.250 0.744
H 0.250 0.410 0.394
H 0.250 0.592 0.059
H 0.250 0.908 0.059
H 0.750 0.092 0.941
H 0.750 0.408 0.941
H 0.750 0.590 0.606
H 0.750 0.750 0.256
H 0.750 0.910 0.606

Most intense lines, 2θ = 5–70°, by angle:
two_theta  d/Å  I_rel
29.86  2.993  53
31.08  2.877  25
34.59  2.593  100
34.72  2.584  47
43.64  2.074  15
55.48  1.656  17
56.13  1.639  37
64.29  1.449  19

Entry 7:
Diffraction record for ScH. The powder X-ray diffraction pattern is theoretical, not measured: it uses a crystal structure in Alexandria, relaxed with PBE and Cu Kα, 1.54184 Å.
Neutral-atom scattering factors, no anomalous dispersion.

Structure:
abc: 5.534 5.534 3.421
angles: 90.00 90.00 90.00
Sites, in units of the cell vectors:
Sc 0.202 0.202 0.000
Sc 0.298 0.702 0.500
Sc 0.702 0.298 0.500
Sc 0.798 0.798 0.000
H 0.159 0.841 0.000
H 0.341 0.341 0.500
H 0.659 0.659 0.500
H 0.841 0.159 0.000

Most intense lines, 2θ = 5–70°, by angle:
two_theta  d/Å  I_rel
30.73  2.910  18
32.36  2.767  55
34.84  2.575  100
36.30  2.475  30
56.70  1.624  17
59.32  1.558  17
64.00  1.455  13
66.81  1.400  13

Entry 8:
Diffraction record for ScH. The powder X-ray diffraction pattern is theoretical, not measured: it uses a crystal structure in Alexandria, relaxed with PBE and Cu Kα, 1.54184 Å.
Neutral-atom scattering factors, no anomalous dispersion.

Structure:
abc: 3.333 3.333 16.212
angles: 90.00 90.00 120.00
Sites, in units of the cell vectors:
Sc 0.000 0.000 0.000
Sc 0.000 0.000 0.500
Sc 0.333 0.667 0.167
Sc 0.333 0.667 0.667
Sc 0.667 0.333 0.333
Sc 0.667 0.333 0.833
H 0.000 0.000 0.125
H 0.000 0.000 0.875
H 0.333 0.667 0.542
H 0.333 0.667 0.791
H 0.667 0.333 0.209
H 0.667 0.333 0.458

Most intense lines, 2θ = 5–70°, by angle:
two_theta  d/Å  I_rel
32.94  2.719  100
33.15  2.702  33
38.28  2.351  60
55.11  1.666  21
55.40  1.659  20
65.72  1.421  11
65.85  1.418  22
66.10  1.414  11

Entry 9:
Diffraction record for Sc6Si3H. The powder X-ray diffraction pattern is theoretical, not measured: it uses a crystal structure in Alexandria, relaxed with PBE and Cu Kα, 1.54184 Å.
Neutral-atom scattering factors, no anomalous dispersion.

Structure:
abc: 8.185 8.185 5.545
angles: 90.00 90.00 99.71
Sites, in units of the cell vectors:
Sc 0.089 0.911 0.500
Sc 0.119 0.531 0.288
Sc 0.232 0.318 0.827
Sc 0.303 0.697 0.787
Sc 0.318 0.232 0.327
Sc 0.469 0.881 0.288
Sc 0.531 0.119 0.788
Sc 0.682 0.768 0.827
Sc 0.697 0.303 0.287
Sc 0.768 0.682 0.327
Sc 0.881 0.469 0.788
Sc 0.911 0.089 0.000
Si 0.006 0.767 0.996
Si 0.233 0.994 0.996
Si 0.484 0.516 0.093
Si 0.516 0.484 0.593
Si 0.767 0.006 0.496
Si 0.994 0.233 0.496
H 0.253 0.747 0.441
H 0.747 0.253 0.941

Most intense lines, 2θ = 5–70°, by angle:
two_theta  d/Å  I_rel
30.94  2.890  46
32.87  2.725  25
34.20  2.622  21
36.62  2.454  27
36.92  2.434  48
37.15  2.420  100
39.97  2.255  20
40.51  2.227  36

Entry 10:
Diffraction record for ScSnH. The powder X-ray diffraction pattern is theoretical, not measured: it uses a crystal structure in Alexandria, relaxed with PBE and Cu Kα, 1.54184 Å.
Neutral-atom scattering factors, no anomalous dispersion.

Structure:
abc: 6.216 3.539 10.097
angles: 90.00 90.00 90.00
Sites, in units of the cell vectors:
Sc 0.117 0.250 0.106
Sc 0.383 0.750 0.606
Sc 0.617 0.250 0.394
Sc 0.883 0.750 0.894
Sn 0.108 0.250 0.399
Sn 0.392 0.750 0.899
Sn 0.608 0.250 0.101
Sn 0.892 0.750 0.601
H 0.018 0.250 0.918
H 0.482 0.750 0.418
H 0.518 0.250 0.582
H 0.982 0.750 0.082

Most intense lines, 2θ = 5–70°, by angle:
two_theta  d/Å  I_rel
16.75  5.293  61
26.69  3.340  94
30.08  2.970  67
35.57  2.524  45
36.85  2.439  98
38.55  2.335  100
39.47  2.283  79
53.45  1.714  52